This entry pairs a crystal structure of V3O5F with its computed powder diffractogram. Radiation: Cu Kα X-rays. Structure: a PBE+U-relaxed structure.
Peak positions follow from Bragg's law for the DFT cell and can differ from measured ones.

Atomic structure:
```
V3O5F
1.0
4.6930 0.0000 0.0000
-0.0285 5.5543 0.0000
-0.0435 -0.7887 7.4679
V O F
6 10 2
direct
0.0000 0.0000 0.0000 V
0.0027 0.3567 0.3571 V
0.0118 0.6935 0.6623 V
0.4609 0.5295 0.0150 V
0.4944 0.1680 0.6663 V
0.4975 0.8487 0.3345 V
0.1732 0.0546 0.2282 O
0.1947 0.7188 0.9057 O
0.2015 0.3758 0.5695 O
0.2814 0.5430 0.2360 O
0.3005 0.8855 0.5729 O
0.3142 0.2268 0.9009 O
0.6912 0.7982 0.0916 O
0.6964 0.1595 0.4524 O
0.7935 0.6430 0.4299 O
0.8046 0.9943 0.7819 O
0.6963 0.4886 0.7726 F
0.7843 0.3132 0.1085 F
```

Principal peaks in the range 10° ≤ 2θ ≤ 80°, low angle first:
| h k l | 2θ (°) | I/Imax |
| --- | --- | --- |
| 1 -1 1 | 26.90 | 100 |
| 0 2 1 | 35.81 | 24 |
| 1 1 2 | 36.07 | 22 |
| 1 2 1 | 40.94 | 9 |
| 1 -3 0 | 53.32 | 14 |
| 1 3 0 | 53.57 | 7 |
| 2 2 1 | 53.72 | 14 |
| 2 0 3 | 53.89 | 14 |
| 2 -2 2 | 55.44 | 18 |
| 0 2 4 | 62.95 | 7 |